Entry 1:
This entry pairs a crystal structure of W2O3F9 with its calculated X-ray powder pattern. Radiation: Cu Kα. Structure: a structure optimized by DFT (GGA+U).

Peak list (10 most intense, 2θ = 5–70°, by angle)
d [Å]	2θ/deg	I/Imax
5.276	16.8	43
5.147	17.2	100
3.950	22.5	48
3.877	22.9	99
3.783	23.5	45
3.749	23.7	24
2.801	31.9	22
2.733	32.8	20
1.744	52.5	17
1.722	53.2	15

Structure:
```
W2O3F9
1.0
5.5321 0.0000 0.0000
0.0000 5.4364 0.0000
-4.9801 0.0000 15.8001
W O F
4 6 18
Direct
0.1192 0.2252 0.3822 W
0.1192 0.7748 0.8822 W
0.8808 0.2252 0.1178 W
0.8808 0.7748 0.6178 W
0.2238 0.1258 0.4857 O
0.2238 0.8742 0.9857 O
0.5000 0.1017 0.7500 O
0.5000 0.8983 0.2500 O
0.7762 0.1258 0.0143 O
0.7762 0.8742 0.5143 O
0.0000 0.3254 0.2500 F
0.0000 0.6746 0.7500 F
0.0892 0.0574 0.6645 F
0.0892 0.9426 0.1645 F
0.1728 0.3982 0.1144 F
0.1728 0.6018 0.6144 F
0.3042 0.4787 0.8928 F
0.3042 0.5213 0.3928 F
0.3929 0.0630 0.3498 F
0.3929 0.9370 0.8498 F
0.6071 0.0630 0.1502 F
0.6071 0.9370 0.6502 F
0.6958 0.4787 0.6072 F
0.6958 0.5213 0.1072 F
0.8272 0.3982 0.3856 F
0.8272 0.6018 0.8856 F
0.9108 0.0574 0.8355 F
0.9108 0.9426 0.3355 F
```



Entry 2:
This entry pairs a crystal structure of W3O7F with its calculated X-ray powder pattern. Radiation: Cu Kα. Structure: a structure optimized by DFT (GGA+U).

Peak list (10 most intense, 2θ = 5–70°, by angle)
d [Å]	2θ/deg	I/Imax
3.868	23.0	100
3.217	27.7	60
3.187	28.0	88
2.473	36.3	40
2.460	36.5	58
1.934	47.0	20
1.851	49.2	25
1.670	55.0	26
1.657	55.4	25
1.653	55.6	26

Structure:
```
W3O7F
1.0
3.2168 -5.5023 0.0000
3.2168 5.5023 0.0000
0.0000 0.0000 3.8682
W O F
3 7 1
Direct
0.0000 0.0000 0.0000 W
0.3041 0.6959 0.0000 W
0.6959 0.3041 0.0000 W
0.0000 0.0000 0.5000 O
0.0406 0.3369 0.0000 O
0.3087 0.6913 0.5000 O
0.3369 0.0406 0.0000 O
0.6631 0.9594 0.0000 O
0.6913 0.3087 0.5000 O
0.9594 0.6631 0.0000 O
0.5000 0.5000 0.0000 F
```



Entry 3:
This entry pairs a crystal structure of WO2F2 with its calculated X-ray powder pattern. Radiation: Cu Kα. Structure: a structure optimized by DFT (GGA+U).

Peak list (10 most intense, 2θ = 5–70°, by angle)
d [Å]	2θ/deg	I/Imax
4.971	17.8	52
3.609	24.7	100
2.739	32.7	21
2.518	35.7	21
2.486	36.1	12
2.399	37.5	11
1.937	46.9	12
1.805	50.6	10
1.769	51.7	16
1.706	53.7	19

Structure:
```
WO2F2
1.0
2.7376 -2.7405 0.0000
2.7376 2.7405 0.0000
0.0000 0.0000 9.9429
W O F
2 4 4
Direct
0.2087 0.7913 0.7500 W
0.7913 0.2087 0.2500 W
0.2357 0.2648 0.7500 O
0.2648 0.2357 0.2500 O
0.7352 0.7643 0.7500 O
0.7643 0.7352 0.2500 O
0.2493 0.7507 0.5608 F
0.2493 0.7507 0.9392 F
0.7507 0.2493 0.0608 F
0.7507 0.2493 0.4392 F
```



Entry 4:
This entry pairs a crystal structure of WOF4 with its calculated X-ray powder pattern. Radiation: Cu Kα. Structure: a structure optimized by DFT (GGA+U).

Peak list (10 most intense, 2θ = 5–70°, by angle)
d [Å]	2θ/deg	I/Imax
5.004	17.7	100
3.538	25.2	36
3.424	26.0	80
2.460	36.5	32
2.238	40.3	28
2.020	44.9	14
1.822	50.1	13
1.754	52.1	18
1.572	58.7	17
1.473	63.1	14

Structure:
```
WOF4
1.0
-3.5385 3.5385 1.9559
3.5385 -3.5385 1.9559
3.5385 3.5385 -1.9559
W O F
1 1 4
Direct
0.0000 0.0000 0.0000 W
0.5412 0.5412 0.0000 O
0.1344 0.3084 0.3317 F
0.3084 0.9767 0.1740 F
0.8027 0.1344 0.8260 F
0.9767 0.8027 0.6683 F
```